Diffraction record for SrCo4B2. The PXRD pattern is theoretical, not measured: it uses a structure optimized by DFT (PBE) and Cu Kα.

Crystal structure
```
data_SrCo4B2
_chemical_formula_sum 'Sr2 Co8 B4'
_space_group_name_H-M_alt 'I 4/m m m'
_space_group_IT_number 139
_space_group_name_Hall '-I 4 2'
_cell_length_a 4.4813
_cell_length_b 4.4813
_cell_length_c 11.3070
_cell_angle_alpha 90.00
_cell_angle_beta 90.00
_cell_angle_gamma 90.00
loop_
_atom_site_label
_atom_site_type_symbol
_atom_site_fract_x
_atom_site_fract_y
_atom_site_fract_z
Sr1 Sr 0.0000 0.0000 0.0000
Co1 Co 0.0000 0.0000 0.2693
Co2 Co 0.0000 0.5000 0.0000
B1 B 0.0000 0.0000 0.4296
```

Peak list (6 most intense, 10 to 90 degrees two-theta, by angle)
- 15.67°, d 5.654, I 49, hkl 0 0 2
- 31.00°, d 2.884, I 55, hkl 1 0 3
- 31.65°, d 2.827, I 81, hkl 0 0 4
- 32.39°, d 2.764, I 64, hkl 1 1 2
- 40.25°, d 2.241, I 100, hkl 2 0 0
- 52.09°, d 1.756, I 75, hkl 2 0 4